Record 1
MgTiGa4O8: theoretical PXRD pattern (Cu Kα X-rays), based on a cell relaxed with PBE.
Lines closer than 0.1° are merged.

Principal peaks in the range 10 to 90 degrees two-theta, in order of rising 2θ:
8.166 Å, 10.83°, I 35, hkl 0 0 1; 3.606 Å, 24.69°, I 26, hkl 2 0 1; 3.003 Å, 29.75°, I 24, hkl 4 0 -1; 2.777 Å, 32.24°, I 65, hkl 4 0 -3; 2.722 Å, 32.90°, I 53, hkl 0 0 3; 2.671 Å, 33.55°, I 31, hkl 1 1 1; 2.608 Å, 34.39°, I 100, hkl 1 1 -2; 2.478 Å, 36.25°, I 41, hkl 3 1 -1; 1.763 Å, 51.85°, I 36, hkl 3 1 2; 1.599 Å, 57.64°, I 23, hkl 5 1 -5

Structural model:
Cell lengths 12.413, 3.111, 9.699 Å; angles 90.00, 122.66, 90.00 degrees
Space group Cm (No. 8)
Asymmetric unit:
Mg 0.000 0.000 0.000 x2
Ti 0.231 0.000 0.002 x2
Ga 0.189 0.500 0.305 x2
Ga 0.241 0.500 0.697 x2
Ga 0.460 0.000 0.646 x2
Ga 0.468 0.500 0.363 x2
O 0.046 0.000 0.797 x2
O 0.066 0.500 0.541 x2
O 0.090 0.000 0.282 x2
O 0.131 0.500 0.074 x2
O 0.308 0.500 0.928 x2
O 0.324 0.000 0.694 x2
O 0.364 0.500 0.473 x2
O 0.374 0.000 0.228 x2


Record 2
MgTiGa4O8: theoretical PXRD pattern (Cu Kα X-rays), based on a cell relaxed with PBE.
Lines closer than 0.1° are merged.

Principal peaks in the range 10 to 90 degrees two-theta, in order of rising 2θ:
8.143 Å, 10.87°, I 37, hkl 0 0 1; 3.590 Å, 24.80°, I 39, hkl 0 1 2; 2.802 Å, 31.94°, I 100, hkl 0 2 -1; 2.714 Å, 33.00°, I 65, hkl 0 0 3; 2.705 Å, 33.12°, I 33, hkl 1 0 -1; 2.628 Å, 34.11°, I 33, hkl 1 1 -1; 2.612 Å, 34.33°, I 44, hkl 0 2 2; 2.574 Å, 34.86°, I 54, hkl 1 0 2; 2.449 Å, 36.69°, I 47, hkl 1 2 1; 1.513 Å, 61.28°, I 33, hkl 1 0 5

Structural model:
Cell lengths 3.100, 6.413, 8.289 Å; angles 81.98, 81.21, 77.10 degrees
Space group P-1 (No. 2)
Asymmetric unit:
Mg 0.000 0.000 0.000 x1
Ti 0.000 0.500 0.000 x1
Ga 0.252 0.648 0.358 x2
Ga 0.499 0.855 0.701 x2
O 0.096 0.969 0.273 x2
O 0.162 0.402 0.778 x2
O 0.350 0.326 0.467 x2
O 0.437 0.739 0.928 x2


Record 3
MgTiGa4O8: theoretical PXRD pattern (Cu Kα X-rays), based on a cell relaxed with PBE.
Lines closer than 0.1° are merged.

Principal peaks in the range 10 to 90 degrees two-theta, in order of rising 2θ:
5.420 Å, 16.35°, I 100, hkl 0 1 -1; 3.697 Å, 24.07°, I 59, hkl 0 1 -2; 3.131 Å, 28.51°, I 43, hkl 0 2 0; 2.765 Å, 32.38°, I 40, hkl 0 2 1; 2.645 Å, 33.89°, I 38, hkl 0 1 -3; 2.551 Å, 35.18°, I 58, hkl 1 0 1; 2.470 Å, 36.37°, I 40, hkl -1 1 2; 2.234 Å, 40.38°, I 38, hkl 1 -1 2; 2.169 Å, 41.64°, I 53, hkl 1 0 -3; 2.088 Å, 43.35°, I 43, hkl 0 3 0

Structural model:
Cell lengths 2.978, 6.512, 8.298 Å; angles 97.64, 98.55, 102.55 degrees
Space group P-1 (No. 2)
Asymmetric unit:
Mg 0.000 0.000 0.000 x1
Ti 0.000 0.500 0.500 x1
Ga 0.116 0.007 0.359 x2
Ga 0.373 0.626 0.137 x2
O 0.034 0.349 0.698 x2
O 0.177 0.328 0.020 x2
O 0.375 0.319 0.404 x2
O 0.456 0.029 0.809 x2


Record 4
MgTiGa4O8: theoretical PXRD pattern (Cu Kα X-rays), based on a cell relaxed with PBE.
Lines closer than 0.1° are merged.

Principal peaks in the range 10 to 90 degrees two-theta, in order of rising 2θ:
3.681 Å, 24.18°, I 51, hkl 2 0 1; 2.819 Å, 31.74°, I 85, hkl 4 0 -3; 2.737 Å, 32.72°, I 72, hkl 4 0 0; 2.664 Å, 33.65°, I 46, hkl 0 0 3; 2.608 Å, 34.39°, I 43, hkl 1 1 1; 2.525 Å, 35.56°, I 100, hkl 1 1 -2; 2.467 Å, 36.41°, I 63, hkl 3 1 -1; 2.201 Å, 41.01°, I 42, hkl 1 1 2; 1.760 Å, 51.94°, I 58, hkl 3 1 2; 1.493 Å, 62.17°, I 68, hkl 7 1 -1

Structural model:
Cell lengths 13.024, 3.006, 9.507 Å; angles 90.00, 122.80, 90.00 degrees
Space group Cm (No. 8)
Asymmetric unit:
Mg 0.000 0.000 0.000 x2
Ti 0.038 0.000 0.321 x2
Ga 0.008 0.500 0.623 x2
Ga 0.249 0.500 0.233 x2
Ga 0.268 0.000 0.949 x2
Ga 0.288 0.500 0.665 x2
O 0.076 0.500 0.210 x2
O 0.168 0.000 0.042 x2
O 0.180 0.500 0.773 x2
O 0.205 0.000 0.518 x2
O 0.376 0.500 0.091 x2
O 0.379 0.000 0.847 x2
O 0.441 0.500 0.655 x2
O 0.497 0.000 0.418 x2


Record 5
Pm2MgGa: theoretical PXRD pattern (Cu Kα X-rays), based on a cell relaxed with PBE.
Lines closer than 0.1° are merged.

Principal peaks in the range 10 to 90 degrees two-theta, in order of rising 2θ:
3.747 Å, 23.74°, I 30, hkl 2 0 0; 2.650 Å, 33.83°, I 100, hkl 2 2 0; 2.163 Å, 41.75°, I 9, hkl 2 2 2; 1.874 Å, 48.59°, I 18, hkl 4 0 0; 1.676 Å, 54.78°, I 13, hkl 4 2 0; 1.530 Å, 60.52°, I 37, hkl 4 2 2; 1.325 Å, 71.17°, I 11, hkl 4 4 0; 1.249 Å, 76.22°, I 6, hkl 6 0 0; 1.185 Å, 81.17°, I 16, hkl 6 2 0; 1.130 Å, 86.05°, I 4, hkl 6 2 2

Structural model:
Cell lengths 7.494, 7.494, 7.494 Å; angles 90.00, 90.00, 90.00 degrees
Space group Fm-3m (No. 225)
Asymmetric unit:
Pm 0.250 0.250 0.250 x8
Mg 0.000 0.000 0.000 x4
Ga 0.000 0.000 0.500 x4


Record 6
MgGaPt2: theoretical PXRD pattern (Cu Kα X-rays), based on a cell relaxed with PBE.
Lines closer than 0.1° are merged.

Principal peaks in the range 10 to 90 degrees two-theta, in order of rising 2θ:
3.622 Å, 24.58°, I 2, hkl 1 1 1; 3.137 Å, 28.46°, I 44, hkl 2 0 0; 2.218 Å, 40.68°, I 100, hkl 2 2 0; 1.891 Å, 48.11°, I 1, hkl 3 1 1; 1.811 Å, 50.39°, I 13, hkl 2 2 2; 1.568 Å, 58.89°, I 17, hkl 4 0 0; 1.403 Å, 66.68°, I 17, hkl 4 2 0; 1.281 Å, 74.03°, I 34, hkl 4 2 2; 1.109 Å, 88.08°, I 11, hkl 4 4 0

Structural model:
Cell lengths 6.273, 6.273, 6.273 Å; angles 90.00, 90.00, 90.00 degrees
Space group Fm-3m (No. 225)
Asymmetric unit:
Mg 0.000 0.000 0.000 x4
Ga 0.000 0.000 0.500 x4
Pt 0.250 0.250 0.250 x8


Record 7
RbMg6Ga: theoretical PXRD pattern (Cu Kα X-rays), based on a cell relaxed with PBE.
Lines closer than 0.1° are merged.

Principal peaks in the range 10 to 90 degrees two-theta, in order of rising 2θ:
6.118 Å, 14.48°, I 40, hkl 0 1 1; 3.914 Å, 22.72°, I 21, hkl 1 1 1; 3.886 Å, 22.89°, I 25, hkl 1 0 2; 3.059 Å, 29.19°, I 20, hkl 0 2 2; 2.879 Å, 31.06°, I 17, hkl 1 1 3; 2.622 Å, 34.19°, I 100, hkl 1 2 2; 2.588 Å, 34.66°, I 38, hkl 1 0 4; 2.547 Å, 35.24°, I 31, hkl 2 0 0; 1.484 Å, 62.57°, I 16, hkl 3 2 2; 1.440 Å, 64.74°, I 20, hkl 2 2 6

Structural model:
Cell lengths 5.093, 7.108, 12.019 Å; angles 90.00, 90.00, 90.00 degrees
Space group Amm2 (No. 38)
Asymmetric unit:
Rb 0.000 0.000 0.000 x2
Mg 0.000 0.000 0.505 x2
Mg 0.000 0.235 0.751 x4
Mg 0.500 0.000 0.334 x2
Mg 0.500 0.213 0.599 x4
Ga 0.500 0.000 0.808 x2


Record 8
RbMg6Ga: theoretical PXRD pattern (Cu Kα X-rays), based on a cell relaxed with PBE.
Lines closer than 0.1° are merged.

Principal peaks in the range 10 to 90 degrees two-theta, in order of rising 2θ:
5.776 Å, 15.34°, I 24, hkl 0 0 2; 5.261 Å, 16.85°, I 21, hkl 1 0 0; 3.889 Å, 22.86°, I 22, hkl 1 0 2; 2.983 Å, 29.95°, I 26, hkl 0 2 2; 2.888 Å, 30.97°, I 18, hkl 0 0 4; 2.631 Å, 34.08°, I 32, hkl 2 0 0; 2.595 Å, 34.57°, I 100, hkl 1 2 2; 2.532 Å, 35.46°, I 37, hkl 1 0 4; 1.973 Å, 46.00°, I 15, hkl 2 2 2; 1.512 Å, 61.32°, I 18, hkl 3 2 2

Structural model:
Cell lengths 5.261, 6.967, 11.551 Å; angles 90.00, 90.00, 90.00 degrees
Space group Amm2 (No. 38)
Asymmetric unit:
Rb 0.000 0.000 0.000 x2
Mg 0.000 0.244 0.745 x4
Mg 0.500 0.000 0.330 x2
Mg 0.500 0.000 0.817 x2
Mg 0.500 0.226 0.582 x4
Ga 0.000 0.000 0.518 x2